(1)
# Fe2CoPt3
Computed powder X-ray diffraction pattern, Cu Kα, 1.54184 Å. Input: a cell relaxed with GGA-PBE.
Kinematic intensities with the Lorentz-polarization factor, no thermal factor.

Largest 12 diffraction maxima, by intensity, 15° ≤ 2θ ≤ 90°:
2θ (°), d [Å], I_rel
40.9, 2.204, 100
47.2, 1.926, 33
23.7, 3.753, 27
83.4, 1.159, 25
32.9, 2.724, 25
70.0, 1.344, 20
48.5, 1.877, 15
53.5, 1.713, 13
85.4, 1.137, 12
88.8, 1.102, 11
69.0, 1.362, 11
59.9, 1.545, 10

```
data_Fe2CoPt3
_chemical_formula_sum 'Fe4 Co2 Pt6'
_symmetry_space_group_name_H-M 'P 1'
_symmetry_Int_Tables_number 1
_cell_length_a 6.089
_cell_length_b 6.089
_cell_length_c 7.506
_cell_angle_alpha 90.00
_cell_angle_beta 90.00
_cell_angle_gamma 143.12
loop_
_symmetry_equiv_pos_as_xyz
'x,y,z'
loop_
_atom_site_label
_atom_site_type_symbol
_atom_site_fract_x
_atom_site_fract_y
_atom_site_fract_z
_atom_site_occupancy
Fe1 Fe 0.000 0.000 0.000 1
Fe2 Fe 0.000 0.000 0.500 1
Fe3 Fe 0.334 0.666 0.000 1
Fe4 Fe 0.666 0.334 0.000 1
Co1 Co 0.331 0.669 0.500 1
Co2 Co 0.669 0.331 0.500 1
Pt1 Pt 0.167 0.833 0.252 1
Pt2 Pt 0.167 0.833 0.748 1
Pt3 Pt 0.500 0.500 0.252 1
Pt4 Pt 0.500 0.500 0.748 1
Pt5 Pt 0.833 0.167 0.252 1
Pt6 Pt 0.833 0.167 0.748 1
```

---

(2)
# Fe2CoPt5
Computed powder X-ray diffraction pattern, Cu Kα, 1.54184 Å. Input: a cell relaxed with GGA-PBE.
Kinematic intensities with the Lorentz-polarization factor, no thermal factor.

Largest 12 diffraction maxima, by intensity, 15° ≤ 2θ ≤ 90°:
2θ (°), d [Å], I_rel
40.4, 2.230, 100
47.0, 1.935, 32
82.8, 1.166, 24
68.8, 1.365, 21
47.2, 1.925, 16
83.1, 1.162, 13
23.0, 3.870, 11
87.5, 1.115, 11
32.8, 2.730, 11
68.6, 1.368, 10
29.5, 3.030, 6
58.5, 1.578, 4

```
data_Fe2CoPt5
_chemical_formula_sum 'Fe4 Co2 Pt10'
_symmetry_space_group_name_H-M 'P 1'
_symmetry_Int_Tables_number 1
_cell_length_a 5.472
_cell_length_b 10.946
_cell_length_c 3.850
_cell_angle_alpha 90.00
_cell_angle_beta 90.00
_cell_angle_gamma 90.00
loop_
_symmetry_equiv_pos_as_xyz
'x,y,z'
loop_
_atom_site_label
_atom_site_type_symbol
_atom_site_fract_x
_atom_site_fract_y
_atom_site_fract_z
_atom_site_occupancy
Fe1 Fe 0.247 0.122 0.000 1
Fe2 Fe 0.253 0.622 0.000 1
Fe3 Fe 0.747 0.378 0.000 1
Fe4 Fe 0.753 0.878 0.000 1
Co1 Co 0.000 0.000 0.500 1
Co2 Co 0.500 0.500 0.500 1
Pt1 Pt 0.000 0.500 0.500 1
Pt2 Pt 0.008 0.245 0.500 1
Pt3 Pt 0.239 0.881 0.000 1
Pt4 Pt 0.261 0.381 0.000 1
Pt5 Pt 0.492 0.745 0.500 1
Pt6 Pt 0.500 0.000 0.500 1
Pt7 Pt 0.508 0.255 0.500 1
Pt8 Pt 0.739 0.619 0.000 1
Pt9 Pt 0.761 0.119 0.000 1
Pt10 Pt 0.992 0.755 0.500 1
```

---

(3)
# Fe6CoPt
Computed powder X-ray diffraction pattern, Cu Kα, 1.54184 Å. Input: a cell relaxed with GGA-PBE.
Kinematic intensities with the Lorentz-polarization factor, no thermal factor.

Largest 12 diffraction maxima, by intensity, 15° ≤ 2θ ≤ 90°:
2θ (°), d [Å], I_rel
44.0, 2.058, 100
80.9, 1.188, 23
64.0, 1.455, 15
26.5, 3.360, 13
25.4, 3.511, 9
81.0, 1.187, 7
30.7, 2.910, 7
33.6, 2.670, 7
52.1, 1.755, 7
40.3, 2.239, 5
46.1, 1.968, 3
72.7, 1.301, 3

```
data_Fe6CoPt
_chemical_formula_sum 'Fe6 Co1 Pt1'
_symmetry_space_group_name_H-M 'P 1'
_symmetry_Int_Tables_number 1
_cell_length_a 7.120
_cell_length_b 7.120
_cell_length_c 7.120
_cell_angle_alpha 33.62
_cell_angle_beta 33.62
_cell_angle_gamma 33.62
loop_
_symmetry_equiv_pos_as_xyz
'x,y,z'
loop_
_atom_site_label
_atom_site_type_symbol
_atom_site_fract_x
_atom_site_fract_y
_atom_site_fract_z
_atom_site_occupancy
Fe1 Fe 0.120 0.120 0.120 1
Fe2 Fe 0.250 0.250 0.250 1
Fe3 Fe 0.371 0.371 0.371 1
Fe4 Fe 0.629 0.629 0.629 1
Fe5 Fe 0.750 0.750 0.750 1
Fe6 Fe 0.880 0.880 0.880 1
Co1 Co 0.000 0.000 0.000 1
Pt1 Pt 0.500 0.500 0.500 1
```